Record 1
Dy12Y5Tm2: computed XRD peak list (copper Kα), based on DFT lattice parameters and positions (GGA-PBE).
No peak broadening, texture or thermal motion is included.

Atomic structure:
abc: 6.483 8.871 11.392
angles: 109.75 92.79 98.09
Space group P-1 (No. 2)
One atom of each set of equivalent atoms:
Dy 0.023 0.199 0.138 (multiplicity 2)
Dy 0.167 0.871 0.578 (multiplicity 2)
Dy 0.202 0.171 0.860 (multiplicity 2)
Dy 0.278 0.598 0.041 (multiplicity 2)
Dy 0.449 0.656 0.768 (multiplicity 2)
Dy 0.470 0.261 0.630 (multiplicity 2)
Y 0.014 0.392 0.718 (multiplicity 2)
Y 0.304 0.012 0.303 (multiplicity 2)
Y 0.500 0.000 0.000 (multiplicity 1)
Tm 0.236 0.445 0.462 (multiplicity 2)

Most intense lines, 2θ = 10–90°, most intense first:
hkl 1 2 1, 31.5 deg, I 100.0
hkl 2 1 -2, 32.6 deg, I 73.0
hkl -1 1 3, 31.9 deg, I 65.2
hkl 2 -1 2, 32.5 deg, I 51.4
hkl 1 -3 1, 31.8 deg, I 33.6
hkl 0 3 -2, 31.0 deg, I 28.3
hkl 0 2 -4, 33.1 deg, I 23.4
hkl 2 -1 1, 29.2 deg, I 22.5
hkl 0 3 -3, 33.6 deg, I 18.2
hkl 1 -3 0, 33.3 deg, I 16.0



Record 2
Dy5Y3Tm2: computed XRD peak list (copper Kα), based on DFT lattice parameters and positions (GGA-PBE).
No peak broadening, texture or thermal motion is included.

Atomic structure:
abc: 10.644 15.694 9.467
angles: 90.00 124.18 90.00
Space group C2/c (No. 15)
One atom of each set of equivalent atoms:
Dy 0.000 0.032 0.250 (multiplicity 4)
Dy 0.000 0.230 0.250 (multiplicity 4)
Dy 0.000 0.468 0.750 (multiplicity 4)
Dy 0.244 0.107 0.742 (multiplicity 8)
Y 0.000 0.267 0.750 (multiplicity 4)
Y 0.146 0.380 0.544 (multiplicity 8)
Tm 0.151 0.117 0.049 (multiplicity 8)

Most intense lines, 2θ = 10–90°, most intense first:
hkl 2 2 -3, 30.5 deg, I 100.0
hkl 4 0 -2, 33.7 deg, I 23.5
hkl 6 2 -5, 58.3 deg, I 15.9
hkl 2 6 -1, 38.4 deg, I 15.3
hkl 0 6 1, 36.2 deg, I 11.6
hkl 0 0 2, 22.7 deg, I 10.8
hkl 4 6 1, 61.1 deg, I 10.2
hkl 2 4 -6, 66.7 deg, I 9.9
hkl 0 6 3, 49.3 deg, I 9.7
hkl 4 6 -3, 50.3 deg, I 9.1



Record 3
DyY4Tm5: computed XRD peak list (copper Kα), based on DFT lattice parameters and positions (GGA-PBE).
No peak broadening, texture or thermal motion is included.

Atomic structure:
abc: 3.533 6.702 13.842
angles: 97.43 90.51 104.79
Space group P-1 (No. 2)
One atom of each set of equivalent atoms:
Dy 0.000 0.000 0.000 (multiplicity 1)
Y 0.130 0.706 0.806 (multiplicity 2)
Y 0.168 0.824 0.215 (multiplicity 2)
Tm 0.188 0.875 0.583 (multiplicity 2)
Tm 0.467 0.420 0.613 (multiplicity 2)
Tm 0.500 0.500 0.000 (multiplicity 1)

Most intense lines, 2θ = 10–90°, most intense first:
hkl 0 2 2, 32.4 deg, I 100.0
hkl 0 0 5, 32.7 deg, I 97.1
hkl 0 2 -3, 31.8 deg, I 65.3
hkl -1 1 2, 29.7 deg, I 44.3
hkl 1 0 -3, 32.0 deg, I 20.7
hkl 1 -2 0, 33.0 deg, I 18.9
hkl 1 1 5, 49.2 deg, I 16.7
hkl 0 0 2, 12.9 deg, I 16.7
hkl -1 2 1, 34.2 deg, I 13.7
hkl 1 -3 6, 56.8 deg, I 13.2



Record 4
Dy3Y8Tm2: computed XRD peak list (copper Kα), based on DFT lattice parameters and positions (GGA-PBE).
No peak broadening, texture or thermal motion is included.

Atomic structure:
abc: 20.051 7.642 5.640
angles: 90.00 90.03 90.00
Space group C2/m (No. 12)
One atom of each set of equivalent atoms:
Dy 0.000 0.000 0.000 (multiplicity 2)
Dy 0.000 0.285 0.500 (multiplicity 4)
Y 0.108 0.289 0.000 (multiplicity 8)
Y 0.134 0.000 0.500 (multiplicity 4)
Y 0.171 0.500 0.501 (multiplicity 4)
Tm 0.241 0.000 0.999 (multiplicity 4)

Most intense lines, 2θ = 10–90°, most intense first:
hkl 4 2 -1, 33.5 deg, I 100.0
hkl 0 0 2, 31.7 deg, I 39.4
hkl 6 0 -1, 31.1 deg, I 30.4
hkl 5 1 1, 29.7 deg, I 28.7
hkl 2 2 0, 24.9 deg, I 26.0
hkl 4 2 -3, 57.7 deg, I 20.8
hkl 2 2 -2, 40.8 deg, I 14.2
hkl 8 0 0, 35.8 deg, I 13.6
hkl 8 0 -2, 48.6 deg, I 11.4
hkl 2 0 1, 18.0 deg, I 11.2



Record 5
Dy2Y2Tm3: computed XRD peak list (copper Kα), based on DFT lattice parameters and positions (GGA-PBE).
No peak broadening, texture or thermal motion is included.

Atomic structure:
abc: 9.624 9.624 9.624
angles: 90.00 90.00 90.00
Space group I2_13 (No. 199)
One atom of each set of equivalent atoms:
Dy 0.043 0.043 0.043 (multiplicity 8)
Y 0.155 0.345 0.655 (multiplicity 8)
Tm 0.000 0.250 0.309 (multiplicity 12)

Most intense lines, 2θ = 10–90°, most intense first:
hkl 3 0 1, 29.3 deg, I 100.0
hkl 3 1 2, 34.9 deg, I 94.6
hkl 2 2 2, 32.2 deg, I 57.5
hkl 5 3 2, 59.2 deg, I 38.8
hkl 4 3 1, 48.2 deg, I 35.9
hkl 5 4 1, 62.5 deg, I 22.1
hkl 4 1 1, 39.7 deg, I 21.4
hkl 5 2 1, 52.0 deg, I 18.9
hkl 1 1 0, 13.0 deg, I 18.9
hkl 7 1 0, 69.0 deg, I 17.9



Record 6
Dy3Tm4Zn4: computed XRD peak list (copper Kα), based on DFT lattice parameters and positions (GGA-PBE).
No peak broadening, texture or thermal motion is included.

Atomic structure:
abc: 5.043 6.906 15.964
angles: 90.00 90.00 90.00
Space group Immm (No. 71)
One atom of each set of equivalent atoms:
Dy 0.000 0.000 0.000 (multiplicity 2)
Dy 0.000 0.500 0.103 (multiplicity 4)
Tm 0.000 0.268 0.321 (multiplicity 8)
Zn 0.000 0.000 0.184 (multiplicity 4)
Zn 0.000 0.186 0.500 (multiplicity 4)

Most intense lines, 2θ = 10–90°, most intense first:
hkl 1 2 1, 31.9 deg, I 100.0
hkl 2 0 0, 35.6 deg, I 52.8
hkl 1 2 3, 35.7 deg, I 39.7
hkl 1 1 4, 31.4 deg, I 34.3
hkl 1 0 5, 33.2 deg, I 31.0
hkl 0 1 5, 30.9 deg, I 27.6
hkl 1 0 3, 24.3 deg, I 23.7
hkl 1 2 5, 42.5 deg, I 21.3
hkl 2 4 0, 65.5 deg, I 20.7
hkl 0 2 2, 28.2 deg, I 20.3



Record 7
Dy2Tm3Zn2: computed XRD peak list (copper Kα), based on DFT lattice parameters and positions (GGA-PBE).
No peak broadening, texture or thermal motion is included.

Atomic structure:
abc: 3.478 3.469 15.326
angles: 90.00 96.51 90.00
Space group P2/m (No. 10)
One atom of each set of equivalent atoms:
Dy 0.201 0.000 0.401 (multiplicity 2)
Tm 0.382 0.500 0.765 (multiplicity 2)
Tm 0.500 0.500 0.000 (multiplicity 1)
Zn 0.058 0.000 0.115 (multiplicity 2)

Most intense lines, 2θ = 10–90°, most intense first:
hkl 0 1 4, 35.0 deg, I 100.0
hkl 1 1 -1, 36.7 deg, I 96.8
hkl 1 0 3, 33.0 deg, I 74.6
hkl 0 1 1, 26.4 deg, I 33.8
hkl 1 0 -3, 29.6 deg, I 33.4
hkl 2 1 3, 64.8 deg, I 33.3
hkl 1 0 -5, 37.1 deg, I 30.0
hkl 0 0 5, 29.3 deg, I 27.4
hkl 1 1 4, 45.6 deg, I 25.3
hkl 1 2 3, 63.7 deg, I 22.3



Record 8
DyTm5Zn6: computed XRD peak list (copper Kα), based on DFT lattice parameters and positions (GGA-PBE).
No peak broadening, texture or thermal motion is included.

Atomic structure:
abc: 4.983 14.980 7.067
angles: 90.00 90.00 90.00
Space group Cmmm (No. 65)
One atom of each set of equivalent atoms:
Dy 0.000 0.000 0.000 (multiplicity 2)
Tm 0.000 0.000 0.500 (multiplicity 2)
Tm 0.000 0.333 0.000 (multiplicity 4)
Tm 0.000 0.334 0.500 (multiplicity 4)
Zn 0.000 0.168 0.253 (multiplicity 8)
Zn 0.000 0.500 0.252 (multiplicity 4)

Most intense lines, 2θ = 10–90°, most intense first:
hkl 2 0 0, 36.0 deg, I 100.0
hkl 2 0 4, 64.7 deg, I 23.7
hkl 1 3 0, 25.2 deg, I 19.6
hkl 3 3 2, 64.8 deg, I 11.8
hkl 2 6 0, 51.8 deg, I 11.7
hkl 2 6 4, 76.3 deg, I 9.1
hkl 3 9 2, 87.4 deg, I 7.9
hkl 1 3 4, 58.5 deg, I 6.9
hkl 2 0 2, 44.5 deg, I 6.0
hkl 0 0 4, 51.7 deg, I 5.9